This entry pairs a crystal structure of NbBS4 with its theoretical X-ray powder pattern. Radiation: Cu Kα (weighted mean of Kα1 and Kα2). Structure: a cell relaxed with GGA-PBE.

Principal peaks in the range 2θ from 10° to 90°, by angle:
2θ 14.7, I 100.0; 2θ 16.6, I 32.8; 2θ 18.1, I 51.0; 2θ 22.2, I 29.4; 2θ 24.7, I 30.5; 2θ 27.7, I 17.0; 2θ 27.8, I 51.4; 2θ 32.5, I 18.9; 2θ 38.4, I 17.1; 2θ 40.6, I 16.3; 2θ 45.3, I 32.5; 2θ 57.3, I 16.8

Structure:
Lattice parameters (Å, degrees): 5.345 5.347 12.091 90.00 90.00 90.00
Atoms (fractional coordinates):
Nb (0.000, 0.000, 0.000)
Nb (0.500, 0.000, 0.500)
B (0.000, 0.000, 0.500)
B (0.000, 0.500, 0.000)
S (0.203, 0.215, 0.598)
S (0.203, 0.785, 0.402)
S (0.215, 0.297, 0.098)
S (0.215, 0.703, 0.902)
S (0.785, 0.297, 0.902)
S (0.785, 0.703, 0.098)
S (0.797, 0.215, 0.402)
S (0.797, 0.785, 0.598)